Na2InCuCl6: simulated powder diffractogram (copper Kα), based on a GGA-PBE-relaxed structure.

Largest 8 diffraction maxima, by angle, 10° ≤ 2θ ≤ 90°:
two_theta, intensity
17.64, 100
25.05, 49
35.72, 75
40.10, 46
44.12, 22
51.41, 48
54.78, 22
86.59, 20

Atomic structure:
a = 10.055 Å, b = 10.055 Å, c = 10.055 Å
α = 90.00°, β = 90.00°, γ = 90.00°
Space group Fm-3m (No. 225)
Asymmetric unit:
Na 0.250 0.250 0.250 (multiplicity 8)
In 0.000 0.000 0.000 (multiplicity 4)
Cu 0.000 0.000 0.500 (multiplicity 4)
Cl 0.000 0.000 0.254 (multiplicity 24)

Tb2FeSi4: simulated powder diffractogram (copper Kα), based on a GGA-PBE-relaxed structure.

Largest 8 diffraction maxima, by angle, 10° ≤ 2θ ≤ 90°:
two_theta, intensity
22.66, 40
24.65, 67
31.71, 50
35.64, 100
36.02, 59
40.81, 39
44.70, 52
58.65, 28

Atomic structure:
a = 4.059 Å, b = 4.051 Å, c = 15.820 Å
α = 90.00°, β = 90.00°, γ = 90.00°
Space group Amm2 (No. 38)
Asymmetric unit:
Tb 0.000 0.000 0.000 (multiplicity 2)
Tb 0.500 0.000 0.219 (multiplicity 2)
Fe 0.000 0.000 0.360 (multiplicity 2)
Si 0.000 0.000 0.646 (multiplicity 2)
Si 0.000 0.000 0.802 (multiplicity 2)
Si 0.500 0.000 0.413 (multiplicity 2)
Si 0.500 0.000 0.567 (multiplicity 2)

NdZn2Ga2: simulated powder diffractogram (copper Kα), based on a GGA-PBE-relaxed structure.

Largest 8 diffraction maxima, by angle, 10° ≤ 2θ ≤ 90°:
two_theta, intensity
32.74, 56
34.11, 100
42.35, 53
47.57, 30
54.54, 26
61.44, 17
65.56, 22
72.18, 22

Atomic structure:
a = 4.268 Å, b = 4.268 Å, c = 10.690 Å
α = 90.00°, β = 90.00°, γ = 90.00°
Space group I4/mmm (No. 139)
Asymmetric unit:
Nd 0.000 0.000 0.000 (multiplicity 2)
Zn 0.000 0.000 0.386 (multiplicity 4)
Ga 0.000 0.500 0.250 (multiplicity 4)